Record 1
The following is a theoretical powder diffractogram of DyY3Ga8. It was derived from a PBE-relaxed structure, using Cu Kα.
Intensities are scaled so that the largest is 100.

Principal peaks in the range 2θ = 10–90°, low angle first:
32.3 deg, I 42; 32.6 deg, I 41; 38.0 deg, I 55; 38.3 deg, I 100; 38.4 deg, I 51; 40.2 deg, I 44; 61.8 deg, I 25; 62.0 deg, I 24; 67.6 deg, I 26; 68.3 deg, I 26

Crystal structure
```
DyY3Ga8
1.0
2.7466 1.5858 9.0854
-2.7466 1.5858 9.0854
0.0000 -3.1715 9.0854
Dy Y Ga
1 3 8
Direct
0.0000 0.0000 0.0000
0.3761 0.3761 0.3761
0.5000 0.5000 0.5000
0.8762 0.8762 0.8762
0.1880 0.1880 0.1880
0.4382 0.4382 0.9382
0.4382 0.9382 0.4382
0.4378 0.9381 0.9381
0.6881 0.6881 0.6881
0.9382 0.4382 0.4382
0.9381 0.4378 0.9381
0.9381 0.9381 0.4378
```

Record 2
The following is a theoretical powder diffractogram of AlInI4. It was derived from a PBE-relaxed structure, using Cu Kα.
Intensities are scaled so that the largest is 100.

Principal peaks in the range 2θ = 10–90°, low angle first:
10.5 deg, I 49; 12.9 deg, I 43; 21.2 deg, I 100; 24.8 deg, I 39; 28.1 deg, I 37; 30.1 deg, I 20; 32.0 deg, I 15; 32.8 deg, I 25; 37.1 deg, I 16; 39.4 deg, I 17

Crystal structure
```
AlInI4
1.0
8.3820 0.0000 0.0000
0.0000 8.4200 0.0000
0.0000 0.0000 11.8582
Al In I
2 2 8
Direct
0.0000 0.0000 0.0000
0.0000 0.5000 0.5000
0.0000 0.0000 0.5000
0.5000 0.0000 0.0000
0.1777 0.1758 0.1253
0.1777 0.8242 0.8747
0.1822 0.3248 0.6221
0.1822 0.6752 0.3779
0.8178 0.3248 0.3779
0.8178 0.6752 0.6221
0.8223 0.1758 0.8747
0.8223 0.8242 0.1253
```

Record 3
The following is a theoretical powder diffractogram of DyAgTe2. It was derived from a PBE-relaxed structure, using Cu Kα.
Intensities are scaled so that the largest is 100.

Principal peaks in the range 2θ = 10–90°, low angle first:
25.9 deg, I 100; 28.1 deg, I 28; 31.5 deg, I 59; 34.0 deg, I 84; 35.7 deg, I 81; 42.2 deg, I 39; 42.7 deg, I 58; 53.1 deg, I 20; 73.3 deg, I 20; 74.6 deg, I 23

Crystal structure
```
DyAgTe2
1.0
7.1089 0.0000 0.0000
0.0000 7.1089 0.0000
0.0000 0.0000 4.7305
Dy Ag Te
2 2 4
Direct
0.0000 0.5000 0.1901
0.5000 0.0000 0.8099
0.0000 0.0000 0.0000
0.5000 0.5000 0.0000
0.2020 0.7020 0.7086
0.2980 0.2020 0.2914
0.7020 0.7980 0.2914
0.7980 0.2980 0.7086
```

Record 4
The following is a theoretical powder diffractogram of Ce2TcGe6Os. It was derived from a PBE-relaxed structure, using Cu Kα.
Intensities are scaled so that the largest is 100.

Principal peaks in the range 2θ = 10–90°, low angle first:
23.4 deg, I 33; 29.4 deg, I 63; 34.7 deg, I 21; 36.0 deg, I 28; 36.8 deg, I 25; 37.9 deg, I 100; 46.1 deg, I 25; 47.8 deg, I 37; 48.6 deg, I 21; 60.9 deg, I 32

Crystal structure
```
Ce2TcGe6Os
1.0
3.0408 1.7556 12.8455
-3.0408 1.7556 12.8455
0.0000 -3.5112 12.8455
Ce Tc Ge Os
4 2 12 2
Direct
0.1251 0.1251 0.1251
0.2857 0.2857 0.2857
0.7143 0.7143 0.7143
0.8749 0.8749 0.8749
0.0000 0.0000 0.0000
0.5000 0.5000 0.5000
0.0721 0.6564 0.6564
0.1980 0.1980 0.7574
0.1980 0.7574 0.1980
0.2426 0.8020 0.8020
0.3436 0.3436 0.9279
0.3436 0.9279 0.3436
0.6564 0.0721 0.6564
0.6564 0.6564 0.0721
0.7574 0.1980 0.1980
0.8020 0.2426 0.8020
0.8020 0.8020 0.2426
0.9279 0.3436 0.3436
0.4236 0.4236 0.4236
0.5764 0.5764 0.5764
```